[1]
Diffraction record for CoAu2. The PXRD pattern is simulated, not measured: it uses a DFT-relaxed cell (GGA-PBE, Alexandria) and Cu Ka.
Intensities are scaled so that the largest is 100.

Cell and atoms:
abc: 2.7859 2.7859 25.3338
angles: 90.00 90.00 90.00
Space group I4_1/amd (No. 141, origin choice 2)
Inequivalent atoms, fractional coordinates:
Co 0.0000 0.2500 0.3750 (multiplicity 4)
Au 0.0000 0.2500 0.8006 (multiplicity 8)

Top 10 peaks for 15 to 90 degrees two-theta, in order of rising 2θ:
| two_theta | I_rel | hkl |
| --- | --- | --- |
| 28.18 | 45 | 0 0 8 |
| 32.33 | 77 | 1 0 1 |
| 36.82 | 73 | 1 0 5 |
| 40.88 | 100 | 1 0 7 |
| 42.84 | 29 | 0 0 12 |
| 46.66 | 58 | 1 1 2 |
| 51.17 | 50 | 1 1 6 |
| 67.21 | 23 | 2 0 0 |
| 70.69 | 38 | 1 1 14 |
| 81.75 | 27 | 2 1 7 |

[2]
Diffraction record for Co2Au3. The PXRD pattern is simulated, not measured: it uses a DFT-relaxed cell (GGA-PBE, Alexandria) and Cu Ka.
Intensities are scaled so that the largest is 100.

Cell and atoms:
abc: 9.6166 13.6482 4.7737
angles: 90.00 90.00 90.00
Space group Fdd2 (No. 43)
Inequivalent atoms, fractional coordinates:
Co 0.0176 0.2917 0.0000 (multiplicity 16)
Au 0.0000 0.0000 0.4700 (multiplicity 8)
Au 0.0394 0.3960 0.4724 (multiplicity 16)

Top 10 peaks for 15 to 90 degrees two-theta, in order of rising 2θ:
| two_theta | I_rel | hkl |
| --- | --- | --- |
| 22.62 | 21 | 2 2 0 |
| 28.65 | 26 | 1 3 1 |
| 37.41 | 25 | 4 0 0 |
| 39.17 | 100 | 1 5 1 |
| 39.75 | 18 | 4 2 0 |
| 42.27 | 56 | 2 0 2 |
| 47.73 | 33 | 3 5 1 |
| 69.02 | 17 | 1 5 3 |
| 71.90 | 14 | 2 10 0 |
| 81.22 | 17 | 0 10 2 |

[3]
Diffraction record for Co6Au. The PXRD pattern is simulated, not measured: it uses a DFT-relaxed cell (GGA-PBE, Alexandria) and Cu Ka.
Intensities are scaled so that the largest is 100.

Cell and atoms:
abc: 5.9712 5.9712 5.9712
angles: 90.00 90.00 90.00
Space group Im-3m (No. 229)
Inequivalent atoms, fractional coordinates:
Co 0.0000 0.2500 0.5000 (multiplicity 12)
Au 0.0000 0.0000 0.0000 (multiplicity 2)

Top 10 peaks for 15 to 90 degrees two-theta, in order of rising 2θ:
| two_theta | I_rel | hkl |
| --- | --- | --- |
| 21.04 | 9 | 1 1 0 |
| 29.93 | 44 | 2 0 0 |
| 36.87 | 100 | 2 1 1 |
| 48.19 | 3 | 3 1 0 |
| 53.13 | 3 | 2 2 2 |
| 57.77 | 53 | 3 2 1 |
| 62.19 | 16 | 4 0 0 |
| 70.53 | 14 | 4 2 0 |
| 74.54 | 12 | 3 3 2 |
| 82.34 | 2 | 5 1 0 |

[4]
Diffraction record for Cs3CoAu. The PXRD pattern is simulated, not measured: it uses a DFT-relaxed cell (GGA-PBE, Alexandria) and Cu Ka.
Intensities are scaled so that the largest is 100.

Cell and atoms:
abc: 6.1063 6.1063 6.1063
angles: 90.00 90.00 90.00
Space group Pm-3m (No. 221)
Inequivalent atoms, fractional coordinates:
Cs 0.0000 0.0000 0.5000 (multiplicity 3)
Co 0.0000 0.0000 0.0000 (multiplicity 1)
Au 0.5000 0.5000 0.5000 (multiplicity 1)

Top 10 peaks for 15 to 90 degrees two-theta, in order of rising 2θ:
| two_theta | I_rel | hkl |
| --- | --- | --- |
| 20.57 | 15 | 1 1 0 |
| 25.26 | 100 | 1 1 1 |
| 29.25 | 80 | 2 0 0 |
| 41.84 | 60 | 2 2 0 |
| 49.51 | 48 | 3 1 1 |
| 51.87 | 21 | 2 2 2 |
| 66.78 | 20 | 3 3 1 |
| 68.75 | 27 | 4 2 0 |
| 76.41 | 20 | 4 2 2 |
| 81.99 | 16 | 5 1 1 |